Diffraction record for Pm3SiI. The X-ray powder pattern is calculated, not measured: it uses a crystal structure in Alexandria, relaxed with GGA-PBE and Cu Kα (weighted mean of Kα1 and Kα2).
Intensities are scaled so that the largest is 100.

Atomic structure:
```
10
Lattice="4.1745 0.0000 0.0000 0.0000 9.2032 0.0000 0.0000 0.0000 8.3392" Properties=species:S:1:pos:R:3 pbc="T T T"
Pm 1.0436 0.5465 1.3124
Pm 1.0436 2.3008 6.2728
Pm 1.0436 4.0550 1.3124
Pm 3.1308 5.1481 7.0268
Pm 3.1308 6.9024 2.0664
Pm 3.1308 8.6566 7.0268
Si 1.0436 6.9024 0.1037
Si 3.1308 2.3008 8.2354
I 1.0436 6.9024 4.6888
I 3.1308 2.3008 3.6503
```

Main lines, low angle first (10° ≤ 2θ ≤ 90°):
| 2θ (°) | I/Imax | h k l |
| --- | --- | --- |
| 22.06 | 34.4 | 0 2 1 |
| 25.75 | 24.9 | 1 1 1 |
| 30.30 | 48.6 | 1 0 2 |
| 30.84 | 100.0 | 1 2 1 |
| 31.06 | 36.7 | 0 3 1 |
| 31.85 | 62.2 | 1 1 2 |
| 33.68 | 21.4 | 0 1 3 |
| 36.35 | 43.8 | 0 3 2 |
| 43.35 | 25.0 | 2 0 0 |
| 57.84 | 24.8 | 2 3 2 |